# 1
# MoH8S4N2
Calculated X-ray diffraction stick pattern, copper Kα. Input: a cell relaxed with GGA-PBE.

Crystal structure
```
data_MoH8S4N2
_symmetry_space_group_name_H-M 'P n m a'
_symmetry_Int_Tables_number 62
_cell_length_a 9.7731
_cell_length_b 7.0872
_cell_length_c 12.3845
_cell_angle_alpha 90.00
_cell_angle_beta 90.00
_cell_angle_gamma 90.00
loop_
_symmetry_equiv_pos_as_xyz
'x,y,z'
'-x,-y,-z'
'-x+1/2,-y,z+1/2'
'x+1/2,y,-z+1/2'
'x+1/2,-y+1/2,-z+1/2'
'-x+1/2,y+1/2,z+1/2'
'-x,y+1/2,-z'
'x,-y+1/2,z'
loop_
_atom_site_label
_atom_site_type_symbol
_atom_site_fract_x
_atom_site_fract_y
_atom_site_fract_z
Mo1 Mo 0.2462 0.2500 0.0726
H1 H 0.0083 0.7500 0.2706
H2 H 0.0176 0.7500 0.4068
H3 H 0.0832 0.7500 0.8401
H4 H 0.1097 0.1309 0.6568
H5 H 0.1633 0.6301 0.9395
H6 H 0.2443 0.2500 0.3467
S1 S 0.0326 0.7500 0.6114
S2 S 0.1484 0.5022 0.1415
S3 S 0.2162 0.2500 0.8971
N1 N 0.0481 0.2500 0.6592
N2 N 0.1665 0.7500 0.8914
```

Peak list (12 most intense, 2θ from 5° to 70°, by angle)
Position (°2θ)  d/Å  Rel. int.
14.4  6.172  15
17.0  5.213  100
18.2  4.887  18
23.2  3.834  9
25.0  3.567  15
25.1  3.544  12
28.3  3.151  10
28.8  3.096  14
31.1  2.879  19
39.6  2.273  9
39.9  2.258  9
45.1  2.011  10

# 2
# Mo9HS18
Calculated X-ray diffraction stick pattern, copper Kα. Input: a cell relaxed with GGA-PBE.

Crystal structure
```
data_Mo9HS18
_symmetry_space_group_name_H-M 'P m m 2'
_symmetry_Int_Tables_number 25
_cell_length_a 3.1681
_cell_length_b 13.2052
_cell_length_c 43.2977
_cell_angle_alpha 90.00
_cell_angle_beta 90.00
_cell_angle_gamma 90.00
loop_
_symmetry_equiv_pos_as_xyz
'x,y,z'
'-x,-y,z'
'-x,y,z'
'x,-y,z'
loop_
_atom_site_label
_atom_site_type_symbol
_atom_site_fract_x
_atom_site_fract_y
_atom_site_fract_z
Mo1 Mo 0.0000 0.0000 0.0000
Mo2 Mo 0.0000 0.0000 0.1245
Mo3 Mo 0.0000 0.0000 0.6166
Mo4 Mo 0.0000 0.0000 0.7445
Mo5 Mo 0.0000 0.0000 0.8722
Mo6 Mo 0.0000 0.5000 0.0431
Mo7 Mo 0.0000 0.5000 0.6587
Mo8 Mo 0.0000 0.5000 0.7868
Mo9 Mo 0.0000 0.5000 0.9150
Mo10 Mo 0.5000 0.0000 0.0641
Mo11 Mo 0.5000 0.0000 0.6807
Mo12 Mo 0.5000 0.0000 0.8084
Mo13 Mo 0.5000 0.0000 0.9361
Mo14 Mo 0.5000 0.5000 0.1044
Mo15 Mo 0.5000 0.5000 0.5979
Mo16 Mo 0.5000 0.5000 0.7228
Mo17 Mo 0.5000 0.5000 0.8509
Mo18 Mo 0.5000 0.5000 0.9790
H1 H 0.0000 0.4032 0.1600
S1 S 0.0000 0.1182 0.0426
S2 S 0.0000 0.1185 0.6591
S3 S 0.0000 0.1187 0.7870
S4 S 0.0000 0.1186 0.9147
S5 S 0.0000 0.3792 0.6155
S6 S 0.0000 0.3797 0.1294
S7 S 0.0000 0.3814 0.7441
S8 S 0.0000 0.3816 0.0004
S9 S 0.0000 0.3815 0.8723
S10 S 0.5000 0.1145 0.5943
S11 S 0.5000 0.1188 0.7231
S12 S 0.5000 0.1187 0.8508
S13 S 0.5000 0.1186 0.9786
S14 S 0.5000 0.1214 0.1074
S15 S 0.5000 0.3782 0.0639
S16 S 0.5000 0.3815 0.8082
S17 S 0.5000 0.3814 0.9364
S18 S 0.5000 0.3816 0.6802
```

Peak list (12 most intense, 2θ from 5° to 70°, by angle)
Position (°2θ)  d/Å  Rel. int.
6.1  14.433  32
8.2  10.824  12
13.4  6.603  100
13.6  6.527  57
32.8  2.734  14
37.3  2.414  12
37.9  2.374  19
38.8  2.323  36
39.1  2.305  17
47.1  1.928  12
47.9  1.900  23
48.1  1.890  11

# 3
# Na3P3H5N3O7
Calculated X-ray diffraction stick pattern, copper Kα. Input: a cell relaxed with GGA-PBE.

Crystal structure
```
data_Na3P3H5N3O7
_symmetry_space_group_name_H-M 'C 1 2 1'
_symmetry_Int_Tables_number 5
_cell_length_a 10.0135
_cell_length_b 12.3636
_cell_length_c 7.7060
_cell_angle_alpha 90.00
_cell_angle_beta 104.37
_cell_angle_gamma 90.00
loop_
_symmetry_equiv_pos_as_xyz
'x,y,z'
'-x,y,-z'
'x+1/2,y+1/2,z'
'-x+1/2,y+1/2,-z'
loop_
_atom_site_label
_atom_site_type_symbol
_atom_site_fract_x
_atom_site_fract_y
_atom_site_fract_z
Na1 Na 0.0000 0.0000 0.0000
Na2 Na 0.0000 0.3032 0.0000
Na3 Na 0.1227 0.1455 0.3880
Na4 Na 0.2216 0.8553 0.4277
P1 P 0.1410 0.7678 0.8046
P2 P 0.1463 0.5264 0.8269
P3 P 0.2253 0.1552 0.8454
H1 H 0.0131 0.3561 0.6062
H2 H 0.0231 0.9525 0.6058
H3 H 0.0323 0.6437 0.2992
H4 H 0.1234 0.7932 0.0877
H5 H 0.1344 0.5052 0.1213
N1 N 0.0734 0.6446 0.7409
N2 N 0.1965 0.5429 0.0524
N3 N 0.1982 0.7629 0.0307
O1 O 0.0000 0.0012 0.5000
O2 O 0.0000 0.3075 0.5000
O3 O 0.0217 0.8489 0.7668
O4 O 0.0335 0.4412 0.7903
O5 O 0.0758 0.1510 0.8536
O6 O 0.2255 0.0086 0.2409
O7 O 0.2384 0.2880 0.2761
O8 O 0.2384 0.6675 0.3324
```

Peak list (12 most intense, 2θ from 5° to 70°, by angle)
Position (°2θ)  d/Å  Rel. int.
11.9  7.465  75
14.3  6.182  51
18.2  4.881  42
19.2  4.625  50
23.3  3.816  39
25.3  3.522  50
27.4  3.256  82
28.2  3.169  78
28.6  3.123  67
32.0  2.800  100
35.3  2.544  45
40.2  2.241  40